No. 1
Simulated powder diffractogram
Compound: Tb2Al9Pd3
Radiation: λ = 1.5418 Å (Cu Kα)
Structure: a crystal structure in Alexandria, relaxed with PBE

Structure:
```
data_Tb2Al9Pd3
_chemical_formula_sum 'Tb8 Al36 Pd12'
_cell_length_a 13.2441
_cell_length_b 7.7152
_cell_length_c 9.4795
_cell_angle_alpha 90.00
_cell_angle_beta 90.00
_cell_angle_gamma 90.00
_symmetry_space_group_name_H-M 'C m c m'
_symmetry_Int_Tables_number 63
_symmetry_space_group_name_Hall '-C 2c 2'
loop_
_atom_site_label
_atom_site_fract_x
_atom_site_fract_y
_atom_site_fract_z
Tb1 0.1617 0.1686 0.2500
Al1 0.0000 0.1300 0.7500
Al2 0.0000 0.3333 0.0568
Al3 0.1040 0.4424 0.7500
Al4 0.1670 0.1678 0.5754
Pd1 0.0000 0.0000 0.0000
Pd2 0.1716 0.5000 0.0000
```

Largest 12 diffraction maxima, in order of falling intensity, 2θ = 10–80°:
| 2θ (°) | d/Å | intensity |
| --- | --- | --- |
| 29.99 | 2.980 | 100 |
| 40.60 | 2.222 | 91 |
| 36.87 | 2.438 | 67 |
| 29.86 | 2.992 | 53 |
| 25.07 | 3.552 | 53 |
| 40.88 | 2.207 | 44 |
| 37.97 | 2.370 | 42 |
| 56.79 | 1.621 | 39 |
| 36.77 | 2.444 | 34 |
| 51.45 | 1.776 | 31 |
| 16.25 | 5.453 | 30 |
| 63.69 | 1.461 | 29 |

---

No. 2
Simulated powder diffractogram
Compound: Tb2Al6Pd
Radiation: λ = 1.5418 Å (Cu Kα)
Structure: a crystal structure in Alexandria, relaxed with PBE

Structure:
```
data_Tb2Al6Pd
_chemical_formula_sum 'Tb2 Al6 Pd1'
_cell_length_a 5.8358
_cell_length_b 5.8358
_cell_length_c 5.8812
_cell_angle_alpha 90.00
_cell_angle_beta 90.00
_cell_angle_gamma 120.00
_symmetry_space_group_name_H-M 'P -3 m 1'
_symmetry_Int_Tables_number 164
_symmetry_space_group_name_Hall '-P 3 2"'
loop_
_atom_site_label
_atom_site_fract_x
_atom_site_fract_y
_atom_site_fract_z
Tb1 0.3333 0.6667 0.3613
Al1 0.1736 0.3472 0.8212
Pd1 0.0000 0.0000 0.5000
```

Largest 12 diffraction maxima, in order of falling intensity, 2θ = 10–80°:
| 2θ (°) | d/Å | intensity |
| --- | --- | --- |
| 34.31 | 2.614 | 100 |
| 35.31 | 2.542 | 92 |
| 30.64 | 2.918 | 83 |
| 38.79 | 2.322 | 72 |
| 23.21 | 3.833 | 62 |
| 15.06 | 5.881 | 62 |
| 57.54 | 1.602 | 41 |
| 49.90 | 1.828 | 28 |
| 63.80 | 1.459 | 25 |
| 68.59 | 1.368 | 24 |
| 56.85 | 1.620 | 24 |
| 47.44 | 1.917 | 22 |